(1)
For La9Pr4Tl11, a DFT-relaxed cell (GGA-PBE, Alexandria) gives the computed X-ray powder pattern in this record (copper Kα).

Structural model:
```
data_La9Pr4Tl11
_symmetry_space_group_name_H-M 'C m m m'
_symmetry_Int_Tables_number 65
_symmetry_space_group_name_Hall '-C 2 2'
_cell_length_a 16.7104
_cell_length_b 24.1411
_cell_length_c 3.7322
_cell_angle_alpha 90.00
_cell_angle_beta 90.00
_cell_angle_gamma 90.00
loop_
_atom_site_label
_atom_site_fract_x
_atom_site_fract_y
_atom_site_fract_z
La1 0.0000 0.0000 0.0000
La2 0.1097 0.4068 0.0000
La3 0.1132 0.2249 0.0000
Pr1 0.1688 0.0841 0.0000
Tl1 0.0000 0.1214 0.5000
Tl2 0.0000 0.3141 0.5000
Tl3 0.0000 0.5000 0.5000
Tl4 0.2162 0.5000 0.5000
Tl5 0.2264 0.3179 0.5000
```

Peak list (12 most intense, 2θ = 10–90°, in order of rising 2θ)
2theta	intensity
30.75	64
30.86	73
32.16	100
32.58	72
32.73	76
36.27	30
48.80	26
55.84	42
58.74	45
59.92	26
65.86	28
86.12	28

---

(2)
For Ac8Ir3BrCl4, a DFT-relaxed cell (GGA-PBE, Alexandria) gives the computed X-ray powder pattern in this record (copper Kα).

Structural model:
```
data_Ac8Ir3BrCl4
_symmetry_space_group_name_H-M 'P -1'
_symmetry_Int_Tables_number 2
_cell_length_a 8.8900
_cell_length_b 8.8957
_cell_length_c 9.4142
_cell_angle_alpha 61.83
_cell_angle_beta 89.98
_cell_angle_gamma 60.04
loop_
_symmetry_equiv_pos_as_xyz
'x,y,z'
'-x,-y,-z'
loop_
_atom_site_label
_atom_site_fract_x
_atom_site_fract_y
_atom_site_fract_z
Ac1 0.2075 0.0412 0.2106
Ac2 0.2336 0.5332 0.2006
Ac3 0.2487 0.5023 0.7896
Ac4 0.2494 0.9592 0.7901
Ir1 0.0000 0.0000 0.0000
Ir2 0.0000 0.5000 0.0000
Ir3 0.5000 0.5000 0.0000
Br1 0.5000 0.0000 0.0000
Cl1 0.0000 0.0000 0.5000
Cl2 0.0000 0.5000 0.5000
Cl3 0.5000 0.0000 0.5000
Cl4 0.5000 0.5000 0.5000
```

Peak list (12 most intense, 2θ = 10–90°, in order of rising 2θ)
2theta	intensity
11.21	40
24.30	19
27.63	100
35.31	21
38.35	32
40.57	37
42.22	10
48.43	14
49.79	18
57.05	9
62.97	9
66.12	9

---

(3)
For LiBe3Se, a DFT-relaxed cell (GGA-PBE, Alexandria) gives the computed X-ray powder pattern in this record (copper Kα).

Structural model:
```
data_LiBe3Se
_symmetry_space_group_name_H-M 'P m -3 m'
_symmetry_Int_Tables_number 221
_symmetry_space_group_name_Hall '-P 4 2 3'
_cell_length_a 4.0663
_cell_length_b 4.0663
_cell_length_c 4.0663
_cell_angle_alpha 90.00
_cell_angle_beta 90.00
_cell_angle_gamma 90.00
loop_
_atom_site_label
_atom_site_fract_x
_atom_site_fract_y
_atom_site_fract_z
Li1 0.0000 0.0000 0.0000
Be1 0.0000 0.0000 0.5000
Se1 0.5000 0.5000 0.5000
```

Peak list (12 most intense, 2θ = 10–90°, in order of rising 2θ)
2theta	intensity
21.86	90
31.10	100
38.34	52
44.56	31
50.17	39
55.34	39
64.85	20
69.33	18
73.67	16
77.92	19
82.10	7
86.25	8